This entry pairs a crystal structure of PmNdDyZn with its calculated powder diffraction line list. Radiation: CuKα. Structure: a DFT-relaxed cell (GGA-PBE, Alexandria).

Peak list (10 most intense, 10 to 90 degrees two-theta, low angle first)
2theta, I (rel.), index
26.58, 18.4, 1 0 1
30.57, 11.9, 0 0 3
32.01, 100.0, 1 0 2
34.97, 48.3, 1 1 0
47.12, 14.5, 1 1 3
50.28, 17.2, 2 0 0
55.09, 10.9, 1 1 4
58.43, 11.9, 1 0 5
60.86, 31.5, 2 1 2
80.64, 9.5, 2 1 5

Atomic structure:
Cell: 3.6290 3.6290 8.7722 Å, 90.00 90.00 90.00°
Element x y z (fractional)
Pm 0.0000 0.0000 0.0000
Nd 0.5000 0.5000 0.3007
Dy 0.0000 0.0000 0.5914
Zn 0.5000 0.5000 0.7846